The following is a theoretical XRD peak list of FePO4. It was derived from a GGA+U-relaxed structure, using CuKα.
Lines closer than 0.1° are merged.

Principal peaks in the range 10 to 90 degrees two-theta, in order of rising 2θ:
2θ 19.8, I 21, hkl 0 1 0; 2θ 20.0, I 41, hkl 1 -1 0; 2θ 25.0, I 98, hkl 1 0 -2; 2θ 25.2, I 100, hkl 0 1 2; 2θ 25.3, I 99, hkl 1 -1 2; 2θ 34.8, I 14, hkl 1 1 0; 2θ 36.7, I 12, hkl 0 1 -4; 2θ 38.2, I 13, hkl 1 -2 2; 2θ 40.6, I 22, hkl 2 -2 0; 2θ 47.1, I 15, hkl -2 1 4

Cell: 5.1260 5.1539 11.6381 Å, 90.06 90.49 119.70°
Atoms (fractional coordinates):
Fe: 0.0000 0.0000 0.0000
Fe: 0.0590 0.5293 0.6655
Fe: 0.5276 0.4596 0.3334
P: 0.0682 0.5381 0.1679
P: 0.5257 0.4594 0.8322
P: 0.9882 0.9940 0.4991
O: 0.1153 0.8825 0.5962
O: 0.1187 0.8441 0.1260
O: 0.2143 0.1169 0.3994
O: 0.2652 0.1555 0.8728
O: 0.3748 0.5829 0.2116
O: 0.4166 0.5882 0.7348
O: 0.6452 0.6776 0.9352
O: 0.6839 0.7342 0.4550
O: 0.7751 0.4047 0.7848
O: 0.8394 0.4232 0.2672
O: 0.9300 0.2396 0.5473
O: 0.9569 0.3137 0.0667


The following is a theoretical XRD peak list of Fe3P4O16. It was derived from a GGA+U-relaxed structure, using CuKα.
Lines closer than 0.1° are merged.

Principal peaks in the range 10 to 90 degrees two-theta, in order of rising 2θ:
2θ 16.2, I 100, hkl 1 1 0; 2θ 19.9, I 20, hkl 1 0 -2; 2θ 21.3, I 50, hkl 1 0 2; 2θ 23.0, I 78, hkl 1 1 -2; 2θ 24.2, I 48, hkl 1 1 2; 2θ 25.8, I 71, hkl 2 1 0; 2θ 30.5, I 45, hkl 1 2 -2; 2θ 31.5, I 22, hkl 1 2 2; 2θ 34.5, I 24, hkl 0 0 4; 2θ 38.9, I 23, hkl 0 3 2

Cell: 7.7371 7.7535 10.4336 Å, 90.00 94.18 90.00°
Atoms (fractional coordinates):
Fe: 0.1570 0.0000 0.3324
Fe: 0.2569 0.3509 0.8686
Fe: 0.2579 0.3971 0.3756
Fe: 0.7421 0.8971 0.6244
Fe: 0.7431 0.8509 0.1314
Fe: 0.8430 0.5000 0.6676
P: 0.0433 0.1742 0.1115
P: 0.0698 0.1597 0.6095
P: 0.4319 0.5579 0.1366
P: 0.4473 0.5673 0.6507
P: 0.5527 0.0673 0.3493
P: 0.5681 0.0579 0.8634
P: 0.9302 0.6597 0.3905
P: 0.9567 0.6742 0.8885
O: 0.0049 0.4889 0.8406
O: 0.0173 0.4851 0.3738
O: 0.0672 0.8036 0.4016
O: 0.1120 0.7948 0.9185
O: 0.1262 0.1785 0.9823
O: 0.1624 0.1639 0.4786
O: 0.1710 0.2277 0.2281
O: 0.2057 0.1992 0.7203
O: 0.3084 0.4871 0.0279
O: 0.3347 0.5774 0.2590
O: 0.3370 0.5197 0.5275
O: 0.3390 0.5448 0.7670
O: 0.3926 0.9466 0.3330
O: 0.4223 0.9180 0.8320
O: 0.4791 0.2234 0.9038
O: 0.4904 0.2590 0.3588
O: 0.5096 0.7590 0.6412
O: 0.5209 0.7234 0.0962
O: 0.5777 0.4180 0.1680
O: 0.6074 0.4466 0.6670
O: 0.6610 0.0448 0.2330
O: 0.6630 0.0197 0.4725
O: 0.6653 0.0774 0.7410
O: 0.6916 0.9871 0.9721
O: 0.7943 0.6992 0.2797
O: 0.8290 0.7277 0.7719
O: 0.8376 0.6639 0.5214
O: 0.8738 0.6785 0.0177
O: 0.8880 0.2948 0.0815
O: 0.9328 0.3036 0.5984
O: 0.9827 0.9851 0.6262
O: 0.9951 0.9889 0.1594


The following is a theoretical XRD peak list of FePO4. It was derived from a GGA+U-relaxed structure, using CuKα.
Lines closer than 0.1° are merged.

Principal peaks in the range 10 to 90 degrees two-theta, in order of rising 2θ:
2θ 19.1, I 19, hkl 1 0 0; 2θ 24.3, I 100, hkl 1 0 2; 2θ 33.3, I 4, hkl 1 1 0; 2θ 35.9, I 6, hkl 1 0 4; 2θ 38.7, I 8, hkl 2 0 0; 2θ 45.6, I 19, hkl 1 1 4; 2θ 54.4, I 9, hkl 2 1 2; 2θ 61.3, I 6, hkl 2 1 4; 2θ 61.6, I 10, hkl 2 0 6; 2θ 75.3, I 5, hkl 3 1 2

Cell: 5.3768 5.3768 11.8557 Å, 90.00 90.00 120.00°
Atoms (fractional coordinates):
Fe: 0.0000 0.5000 0.3333
Fe: 0.5000 0.0000 0.0000
Fe: 0.5000 0.5000 0.6667
P: 0.0000 0.5000 0.8333
P: 0.5000 0.0000 0.5000
P: 0.5000 0.5000 0.1667
O: 0.1867 0.4228 0.7590
O: 0.1867 0.7640 0.9077
O: 0.2360 0.4228 0.2410
O: 0.2360 0.8133 0.4256
O: 0.4228 0.1867 0.5744
O: 0.4228 0.2360 0.0923
O: 0.5772 0.7640 0.0923
O: 0.5772 0.8133 0.5744
O: 0.7640 0.1867 0.4256
O: 0.7640 0.5772 0.2410
O: 0.8133 0.2360 0.9077
O: 0.8133 0.5772 0.7590


Repeat the first record exactly.
The following is a theoretical XRD peak list of FePO4. It was derived from a GGA+U-relaxed structure, using CuKα.
Lines closer than 0.1° are merged.

Principal peaks in the range 10 to 90 degrees two-theta, in order of rising 2θ:
2θ 19.8, I 21, hkl 0 1 0; 2θ 20.0, I 41, hkl 1 -1 0; 2θ 25.0, I 98, hkl 1 0 -2; 2θ 25.2, I 100, hkl 0 1 2; 2θ 25.3, I 99, hkl 1 -1 2; 2θ 34.8, I 14, hkl 1 1 0; 2θ 36.7, I 12, hkl 0 1 -4; 2θ 38.2, I 13, hkl 1 -2 2; 2θ 40.6, I 22, hkl 2 -2 0; 2θ 47.1, I 15, hkl -2 1 4

Cell: 5.1260 5.1539 11.6381 Å, 90.06 90.49 119.70°
Atoms (fractional coordinates):
Fe: 0.0000 0.0000 0.0000
Fe: 0.0590 0.5293 0.6655
Fe: 0.5276 0.4596 0.3334
P: 0.0682 0.5381 0.1679
P: 0.5257 0.4594 0.8322
P: 0.9882 0.9940 0.4991
O: 0.1153 0.8825 0.5962
O: 0.1187 0.8441 0.1260
O: 0.2143 0.1169 0.3994
O: 0.2652 0.1555 0.8728
O: 0.3748 0.5829 0.2116
O: 0.4166 0.5882 0.7348
O: 0.6452 0.6776 0.9352
O: 0.6839 0.7342 0.4550
O: 0.7751 0.4047 0.7848
O: 0.8394 0.4232 0.2672
O: 0.9300 0.2396 0.5473
O: 0.9569 0.3137 0.0667